The following is a computed X-ray diffraction stick pattern of Tm6ReO12. It was derived from a cell relaxed with GGA-PBE, using copper Kα.
Neutral-atom scattering factors, no anomalous dispersion.

Atomic structure:
```
data_Tm6ReO12
_cell_length_a 9.7002
_cell_length_b 9.7002
_cell_length_c 9.2120
_cell_angle_alpha 90.00
_cell_angle_beta 90.00
_cell_angle_gamma 120.00
_space_group_name_H-M_alt 'R -3'
_space_group_IT_number 148
_space_group_name_Hall '-R 3'
loop_
_atom_site_label
_atom_site_type_symbol
_atom_site_fract_x
_atom_site_fract_y
_atom_site_fract_z
_atom_site_occupancy
Tm1 Tm 0.0397 0.2529 0.1429 1
Re1 Re 0.0000 0.0000 0.5000 1
O1 O 0.0310 0.2218 0.8992 1
O2 O 0.0349 0.1859 0.3874 1
```

Most intense lines, 2θ from 15° to 90°, in order of falling intensity:
h k l	two_theta	I (rel.)
2 1 1	29.76	100
3 -2 2	34.30	47
0 0 3	29.08	31
1 4 0	49.74	27
2 1 4	48.85	25
1 4 3	58.65	23
6 -4 1	59.04	13
3 -2 5	57.86	11


The following is a computed X-ray diffraction stick pattern of SiO2. It was derived from a cell relaxed with GGA-PBE, using copper Kα.
Neutral-atom scattering factors, no anomalous dispersion.

Atomic structure:
```
data_SiO2
_cell_length_a 9.6471
_cell_length_b 10.4297
_cell_length_c 9.0572
_cell_angle_alpha 90.00
_cell_angle_beta 90.00
_cell_angle_gamma 90.00
_space_group_name_H-M_alt 'C m c m'
_space_group_IT_number 63
_space_group_name_Hall '-C 2c 2'
loop_
_atom_site_label
_atom_site_type_symbol
_atom_site_fract_x
_atom_site_fract_y
_atom_site_fract_z
_atom_site_occupancy
Si1 Si 0.1645 0.1344 0.0749 1
O1 O 0.0000 0.1588 0.0473 1
O2 O 0.1989 0.1289 0.2500 1
O3 O 0.2122 0.0000 0.0000 1
O4 O 0.2500 0.2500 0.0000 1
```

Most intense lines, 2θ from 15° to 90°, in order of falling intensity:
h k l	two_theta	I (rel.)
0 0 2	19.62	100
2 0 0	18.39	43
1 1 1	15.89	25
3 1 0	29.05	22
0 2 3	34.35	19
1 3 0	27.27	16
2 2 1	27.03	13
1 1 2	23.32	11


The following is a computed X-ray diffraction stick pattern of BaThO3. It was derived from a cell relaxed with GGA-PBE, using copper Kα.
Neutral-atom scattering factors, no anomalous dispersion.

Atomic structure:
```
data_BaThO3
_cell_length_a 4.6001
_cell_length_b 4.6001
_cell_length_c 4.6001
_cell_angle_alpha 90.00
_cell_angle_beta 90.00
_cell_angle_gamma 90.00
_space_group_name_H-M_alt 'P m -3 m'
_space_group_IT_number 221
_space_group_name_Hall '-P 4 2 3'
loop_
_atom_site_label
_atom_site_type_symbol
_atom_site_fract_x
_atom_site_fract_y
_atom_site_fract_z
_atom_site_occupancy
Ba1 Ba 0.0000 0.0000 0.0000 1
Th1 Th 0.5000 0.5000 0.5000 1
O1 O 0.0000 0.5000 0.5000 1
```

Most intense lines, 2θ from 15° to 90°, in order of falling intensity:
h k l	two_theta	I (rel.)
1 1 0	27.42	100
2 1 1	48.47	44
2 0 0	39.17	28
3 2 1	77.67	23
3 1 0	64.01	19
2 2 0	56.59	19
1 0 0	19.30	12
2 2 2	70.98	6


The following is a computed X-ray diffraction stick pattern of PrGe2Pd2. It was derived from a cell relaxed with GGA-PBE, using copper Kα.
Neutral-atom scattering factors, no anomalous dispersion.

Atomic structure:
```
data_PrGe2Pd2
_cell_length_a 4.3660
_cell_length_b 4.3660
_cell_length_c 10.2780
_cell_angle_alpha 90.00
_cell_angle_beta 90.00
_cell_angle_gamma 90.00
_space_group_name_H-M_alt 'I 4/m m m'
_space_group_IT_number 139
_space_group_name_Hall '-I 4 2'
loop_
_atom_site_label
_atom_site_type_symbol
_atom_site_fract_x
_atom_site_fract_y
_atom_site_fract_z
_atom_site_occupancy
Pr1 Pr 0.0000 0.0000 0.0000 1
Ge1 Ge 0.0000 0.0000 0.3776 1
Pd1 Pd 0.0000 0.5000 0.2500 1
```

Most intense lines, 2θ from 15° to 90°, in order of falling intensity:
h k l	two_theta	I (rel.)
1 1 2	33.87	100
2 0 0	41.36	56
1 0 3	33.24	47
2 1 3	54.06	23
3 1 2	70.64	23
2 2 0	59.92	19
1 0 5	48.98	18
1 1 4	45.95	16


The following is a computed X-ray diffraction stick pattern of SmFe2Co2B. It was derived from a cell relaxed with GGA-PBE, using copper Kα.
Neutral-atom scattering factors, no anomalous dispersion.

Atomic structure:
```
data_SmFe2Co2B
_cell_length_a 5.1056
_cell_length_b 8.9177
_cell_length_c 6.8904
_cell_angle_alpha 90.00
_cell_angle_beta 90.00
_cell_angle_gamma 90.00
_space_group_name_H-M_alt 'C m m 2'
_space_group_IT_number 35
loop_
_space_group_symop_operation_xyz
'x,y,z'
'-x,-y,z'
'-x,y,z'
'x,-y,z'
'x+1/2,y+1/2,z'
'-x+1/2,-y+1/2,z'
'-x+1/2,y+1/2,z'
'x+1/2,-y+1/2,z'
loop_
_atom_site_label
_atom_site_type_symbol
_atom_site_fract_x
_atom_site_fract_y
_atom_site_fract_z
_atom_site_occupancy
Sm1 Sm 0.0000 0.0000 0.0000 1
Sm2 Sm 0.0000 0.0000 0.4902 1
Fe1 Fe 0.0000 0.3323 0.0006 1
Fe2 Fe 0.2500 0.2500 0.7100 1
Co1 Co 0.0000 0.5000 0.2863 1
Co2 Co 0.0000 0.5000 0.7098 1
Co3 Co 0.2500 0.2500 0.2875 1
B1 B 0.0000 0.3350 0.4941 1
```

Most intense lines, 2θ from 15° to 90°, in order of falling intensity:
h k l	two_theta	I (rel.)
1 1 2	32.91	100
1 3 2	43.97	75
2 2 0	40.73	57
2 0 2	44.15	36
0 4 0	40.46	30
1 3 0	34.93	24
3 3 2	69.21	19
2 6 0	73.77	16


The following is a computed X-ray diffraction stick pattern of La6P17Pd6. It was derived from a cell relaxed with GGA-PBE, using copper Kα.
Neutral-atom scattering factors, no anomalous dispersion.

Atomic structure:
```
data_La6P17Pd6
_cell_length_a 10.4825
_cell_length_b 10.4825
_cell_length_c 10.4825
_cell_angle_alpha 90.00
_cell_angle_beta 90.00
_cell_angle_gamma 90.00
_space_group_name_H-M_alt 'I -4 3 m'
_space_group_IT_number 217
_space_group_name_Hall 'I -4 2 3'
loop_
_atom_site_label
_atom_site_type_symbol
_atom_site_fract_x
_atom_site_fract_y
_atom_site_fract_z
_atom_site_occupancy
La1 La 0.0000 0.0000 0.2858 1
P1 P 0.0000 0.0000 0.0000 1
P2 P 0.0722 0.2902 0.7098 1
P3 P 0.2163 0.2163 0.2163 1
Pd1 Pd 0.0000 0.2500 0.5000 1
```

Most intense lines, 2θ from 15° to 90°, in order of falling intensity:
h k l	two_theta	I (rel.)
2 2 2	29.52	100
4 0 0	34.22	78
6 2 2	58.40	43
4 4 0	49.17	40
3 3 0	36.36	28
4 2 2	42.24	20
2 2 0	24.01	18
2 0 0	16.92	14